Theoretical PXRD pattern of TiFe2Pt5 for a wavelength of 1.5418 Å, from a structure optimized by DFT (PBE).
Lines closer than 0.1° are merged.

Most intense lines, 5 to 70 degrees two-theta, sorted by position:
| Position (°2θ) | I/Imax |
| --- | --- |
| 26.59 | 15 |
| 27.12 | 30 |
| 31.35 | 28 |
| 37.71 | 31 |
| 39.72 | 100 |
| 41.39 | 94 |
| 42.83 | 66 |
| 43.02 | 21 |
| 55.93 | 20 |
| 59.99 | 16 |

Cell lengths 5.4361, 9.9524, 4.5371 Å; angles 90.00, 90.00, 90.00 degrees
Sites, in units of the cell vectors:
Ti1 0.0000 0.0000 0.0000
Ti2 0.5000 0.5000 0.0000
Fe1 0.1536 0.3597 0.5000
Fe2 0.3464 0.8597 0.5000
Fe3 0.6536 0.1403 0.5000
Fe4 0.8464 0.6403 0.5000
Pt1 0.0000 0.5000 0.0000
Pt2 0.1746 0.1004 0.5000
Pt3 0.2137 0.7594 0.0000
Pt4 0.2863 0.2594 0.0000
Pt5 0.3254 0.6004 0.5000
Pt6 0.5000 0.0000 0.0000
Pt7 0.6746 0.3996 0.5000
Pt8 0.7137 0.7406 0.0000
Pt9 0.7863 0.2406 0.0000
Pt10 0.8254 0.8996 0.5000

Theoretical PXRD pattern of Ti2PtRh3 for a wavelength of 1.5418 Å, from a structure optimized by DFT (PBE).
Lines closer than 0.1° are merged.

Most intense lines, 5 to 70 degrees two-theta, sorted by position:
| Position (°2θ) | I/Imax |
| --- | --- |
| 21.90 | 41 |
| 31.17 | 16 |
| 34.04 | 43 |
| 38.42 | 53 |
| 40.85 | 100 |
| 44.66 | 89 |
| 62.11 | 26 |
| 65.00 | 9 |
| 66.69 | 16 |
| 69.48 | 33 |

Cell lengths 8.1177, 8.1177, 8.1177 Å; angles 120.01, 120.01, 89.97 degrees
Sites, in units of the cell vectors:
Ti1 0.2752 0.3302 0.5550
Ti2 0.2752 0.7202 0.9450
Ti3 0.2798 0.7248 0.5550
Ti4 0.3302 0.2752 0.0550
Ti5 0.6698 0.7248 0.9450
Ti6 0.7202 0.2752 0.4450
Ti7 0.7248 0.2798 0.0550
Ti8 0.7248 0.6698 0.4450
Pt1 0.0803 0.3303 0.7500
Pt2 0.3303 0.0803 0.2500
Pt3 0.6697 0.9197 0.7500
Pt4 0.9197 0.6697 0.2500
Rh1 0.0000 0.5000 0.5000
Rh2 0.0813 0.3313 0.1626
Rh3 0.0813 0.9187 0.7500
Rh4 0.3313 0.0813 0.6626
Rh5 0.3313 0.6687 0.2500
Rh6 0.5000 0.0000 0.0000
Rh7 0.5000 0.5000 0.0000
Rh8 0.5000 0.5000 0.5000
Rh9 0.6687 0.3313 0.7500
Rh10 0.6687 0.9187 0.3374
Rh11 0.9187 0.0813 0.2500
Rh12 0.9187 0.6687 0.8374

Theoretical PXRD pattern of KPb4 for a wavelength of 1.5418 Å, from a structure optimized by DFT (PBE).
Lines closer than 0.1° are merged.

Most intense lines, 5 to 70 degrees two-theta, sorted by position:
| Position (°2θ) | I/Imax |
| --- | --- |
| 14.38 | 26 |
| 30.35 | 100 |
| 32.50 | 37 |
| 40.10 | 12 |
| 42.47 | 11 |
| 46.62 | 16 |
| 52.53 | 20 |
| 56.65 | 26 |
| 63.15 | 13 |
| 66.87 | 11 |

Cell lengths 6.5578, 6.5578, 6.5578 Å; angles 96.75, 96.75, 139.89 degrees
Sites, in units of the cell vectors:
K1 0.0000 0.0000 0.0000
Pb1 0.1754 0.5940 0.7693
Pb2 0.4060 0.1754 0.5814
Pb3 0.5940 0.8246 0.4186
Pb4 0.8246 0.4060 0.2307

Theoretical PXRD pattern of Li5Ca6In for a wavelength of 1.5418 Å, from a structure optimized by DFT (PBE).
Lines closer than 0.1° are merged.

Most intense lines, 5 to 70 degrees two-theta, sorted by position:
| Position (°2θ) | I/Imax |
| --- | --- |
| 10.58 | 38 |
| 11.27 | 36 |
| 15.48 | 31 |
| 16.83 | 27 |
| 20.30 | 33 |
| 32.16 | 100 |
| 32.26 | 99 |
| 46.27 | 23 |
| 57.42 | 34 |
| 57.55 | 22 |

Cell lengths 5.5494, 7.8511, 8.7955 Å; angles 90.00, 108.12, 90.00 degrees
Sites, in units of the cell vectors:
Li1 0.0000 0.0000 0.0000
Li2 0.3319 0.0000 0.6627
Li3 0.3361 0.5000 0.6709
Li4 0.6639 0.5000 0.3291
Li5 0.6681 0.0000 0.3373
Ca1 0.1640 0.2553 0.3285
Ca2 0.1640 0.7447 0.3285
Ca3 0.5000 0.2565 0.0000
Ca4 0.5000 0.7435 0.0000
Ca5 0.8360 0.2553 0.6715
Ca6 0.8360 0.7447 0.6715
In1 0.0000 0.5000 0.0000

Theoretical PXRD pattern of YZr2 for a wavelength of 1.5418 Å, from a structure optimized by DFT (PBE).
Lines closer than 0.1° are merged.

Most intense lines, 5 to 70 degrees two-theta, sorted by position:
| Position (°2θ) | I/Imax |
| --- | --- |
| 30.66 | 20 |
| 30.93 | 54 |
| 33.63 | 77 |
| 34.67 | 54 |
| 35.12 | 100 |
| 35.47 | 54 |
| 35.51 | 98 |
| 54.67 | 35 |
| 66.20 | 20 |
| 66.48 | 21 |

Cell lengths 6.3658, 6.3658, 7.8008 Å; angles 102.80, 102.80, 30.31 degrees
Sites, in units of the cell vectors:
Y1 0.0243 0.0243 0.3020
Y2 0.9757 0.9757 0.6980
Zr1 0.2924 0.2924 0.3496
Zr2 0.3545 0.3545 0.9737
Zr3 0.6455 0.6455 0.0263
Zr4 0.7076 0.7076 0.6504

Theoretical PXRD pattern of CaPuI4 for a wavelength of 1.5418 Å, from a structure optimized by DFT (PBE).
Lines closer than 0.1° are merged.

Most intense lines, 5 to 70 degrees two-theta, sorted by position:
| Position (°2θ) | I/Imax |
| --- | --- |
| 11.18 | 18 |
| 11.59 | 59 |
| 25.09 | 45 |
| 25.68 | 100 |
| 32.16 | 26 |
| 32.55 | 23 |
| 32.96 | 46 |
| 39.58 | 36 |
| 42.10 | 31 |
| 47.79 | 25 |

Cell lengths 7.6397, 4.5073, 7.9176 Å; angles 90.00, 91.38, 90.00 degrees
Sites, in units of the cell vectors:
Ca1 0.0000 0.0000 0.0000
Pu1 0.0000 0.5000 0.5000
I1 0.2356 0.5000 0.1681
I2 0.2382 0.0000 0.6781
I3 0.7618 0.0000 0.3219
I4 0.7644 0.5000 0.8319

Theoretical PXRD pattern of Li5Pu for a wavelength of 1.5418 Å, from a structure optimized by DFT (PBE).
Lines closer than 0.1° are merged.

Most intense lines, 5 to 70 degrees two-theta, sorted by position:
| Position (°2θ) | I/Imax |
| --- | --- |
| 11.12 | 100 |
| 17.41 | 75 |
| 22.35 | 22 |
| 23.56 | 38 |
| 31.42 | 19 |
| 32.70 | 18 |
| 34.28 | 30 |
| 35.25 | 14 |
| 37.93 | 29 |
| 44.47 | 15 |

Cell lengths 8.3974, 8.3974, 3.0487 Å; angles 90.00, 90.00, 142.66 degrees
Sites, in units of the cell vectors:
Li1 0.0000 0.0000 0.0000
Li2 0.1515 0.8485 0.5000
Li3 0.3121 0.6879 0.0000
Li4 0.6879 0.3121 0.0000
Li5 0.8485 0.1515 0.5000
Pu1 0.5000 0.5000 0.5000

Theoretical PXRD pattern of NdSc2Zn6 for a wavelength of 1.5418 Å, from a structure optimized by DFT (PBE).
Lines closer than 0.1° are merged.

Most intense lines, 5 to 70 degrees two-theta, sorted by position:
| Position (°2θ) | I/Imax |
| --- | --- |
| 13.23 | 20 |
| 26.64 | 8 |
| 27.02 | 7 |
| 30.20 | 10 |
| 35.49 | 6 |
| 35.78 | 100 |
| 40.44 | 77 |
| 49.31 | 7 |
| 55.09 | 27 |
| 55.71 | 10 |

Cell lengths 7.7266, 7.7266, 3.3002 Å; angles 90.00, 90.00, 120.00 degrees
Sites, in units of the cell vectors:
Nd1 0.0000 0.0000 0.0000
Sc1 0.3333 0.6667 0.0000
Sc2 0.6667 0.3333 0.0000
Zn1 0.0000 0.3408 0.5000
Zn2 0.0000 0.6592 0.5000
Zn3 0.3408 0.0000 0.5000
Zn4 0.3408 0.3408 0.5000
Zn5 0.6592 0.0000 0.5000
Zn6 0.6592 0.6592 0.5000